(1)
For CaCr2O5, a cell relaxed with GGA+U gives the theoretical powder diffraction line list in this record (Cu Kα, 1.54184 Å).
No peak broadening, texture or thermal motion is included.

Cell and atoms:
a = 3.9669 Å, b = 10.9969 Å, c = 10.8164 Å
α = 90.00°, β = 90.00°, γ = 90.00°
Space group Cmcm (No. 63)
One atom of each set of equivalent atoms:
Ca1 0.0000 0.0946 0.2500 (multiplicity 4)
Cr1 0.0000 0.2104 0.5942 (multiplicity 8)
O1 0.0000 0.0593 0.6142 (multiplicity 8)
O2 0.0000 0.2517 0.0752 (multiplicity 8)
O3 0.0000 0.2974 0.7500 (multiplicity 4)

The 10 most intense peaks (2θ = 10–90°), by intensity:
2θ (°)	I/Imax	hkl
16.12	100.0	0 2 0
29.63	58.8	0 2 3
23.85	57.8	1 1 0
34.59	40.3	1 1 3
45.74	29.4	2 0 0
25.25	24.1	1 1 1
23.07	23.3	0 2 2
34.33	20.2	1 3 1
55.45	15.9	2 2 3
50.64	15.7	0 0 6

=====

(2)
For V2P3O11, a cell relaxed with GGA+U gives the theoretical powder diffraction line list in this record (Cu Kα, 1.54184 Å).
No peak broadening, texture or thermal motion is included.

Cell and atoms:
a = 7.2843 Å, b = 7.2944 Å, c = 8.9604 Å
α = 70.76°, β = 70.80°, γ = 71.85°
Space group P1 (No. 1)
One atom of each set of equivalent atoms:
V1 0.0000 0.0000 0.0000 (multiplicity 1)
V2 0.2230 0.2741 0.0803 (multiplicity 1)
V3 0.4783 0.5300 0.4982 (multiplicity 1)
V4 0.7530 0.7541 0.5785 (multiplicity 1)
P1 0.0733 0.6804 0.7891 (multiplicity 1)
P2 0.1522 0.6007 0.2895 (multiplicity 1)
P3 0.4397 0.0966 0.7483 (multiplicity 1)
P4 0.5702 0.9690 0.2508 (multiplicity 1)
P5 0.6565 0.3136 0.8299 (multiplicity 1)
P6 0.7841 0.1837 0.3281 (multiplicity 1)
O1 0.0597 0.8765 0.8310 (multiplicity 1)
O2 0.0919 0.5043 0.9373 (multiplicity 1)
O3 0.1202 0.7855 0.1409 (multiplicity 1)
O4 0.1547 0.4113 0.2530 (multiplicity 1)
O5 0.2491 0.6623 0.6410 (multiplicity 1)
O6 0.2656 0.0981 0.9077 (multiplicity 1)
O7 0.3417 0.5988 0.3261 (multiplicity 1)
O8 0.3702 0.0235 0.2122 (multiplicity 1)
O9 0.3880 0.2685 0.6079 (multiplicity 1)
O10 0.4843 0.3648 0.9706 (multiplicity 1)
O11 0.5094 0.8927 0.7090 (multiplicity 1)
O12 0.5834 0.7981 0.4092 (multiplicity 1)
O13 0.5937 0.1597 0.2892 (multiplicity 1)
O14 0.6282 0.1250 0.7894 (multiplicity 1)
O15 0.6543 0.4874 0.6705 (multiplicity 1)
O16 0.7296 0.3833 0.3663 (multiplicity 1)
O17 0.7467 0.9209 0.1071 (multiplicity 1)
O18 0.8327 0.0070 0.4716 (multiplicity 1)
O19 0.8607 0.2439 0.8695 (multiplicity 1)
O20 0.8770 0.6938 0.7474 (multiplicity 1)
O21 0.9555 0.1703 0.1697 (multiplicity 1)
O22 0.9680 0.6336 0.4380 (multiplicity 1)

The 10 most intense peaks (2θ = 10–90°), by intensity:
2θ (°)	I/Imax	hkl
14.82	100.0	1 0 1
30.22	80.7	-1 1 2
19.12	78.9	0 1 -1
27.56	41.8	1 2 2
23.47	39.9	1 -1 1
16.44	36.9	1 1 0
33.83	24.4	2 1 3
37.10	19.3	3 1 1
29.89	18.2	2 0 2
33.23	18.1	2 2 0

=====

(3)
For LiVS2O8, a cell relaxed with GGA+U gives the theoretical powder diffraction line list in this record (Cu Kα, 1.54184 Å).
No peak broadening, texture or thermal motion is included.

Cell and atoms:
a = 8.3938 Å, b = 8.4101 Å, c = 9.0022 Å
α = 90.32°, β = 117.38°, γ = 119.83°
Space group P1 (No. 1)
One atom of each set of equivalent atoms:
Li1 0.0000 0.0000 0.0000 (multiplicity 1)
Li2 0.1391 0.7484 0.0911 (multiplicity 1)
Li3 0.3699 0.3764 0.0916 (multiplicity 1)
V1 0.0443 0.5119 0.5294 (multiplicity 1)
V2 0.6253 0.3024 0.9030 (multiplicity 1)
V3 0.6252 0.8095 0.4033 (multiplicity 1)
S1 0.1165 0.4106 0.2082 (multiplicity 1)
S2 0.1263 0.2040 0.7131 (multiplicity 1)
S3 0.5373 0.9029 0.7109 (multiplicity 1)
S4 0.5483 0.1249 0.2087 (multiplicity 1)
S5 0.8227 0.6864 0.2117 (multiplicity 1)
S6 0.8317 0.6159 0.7126 (multiplicity 1)
O1 0.0057 0.7929 0.8621 (multiplicity 1)
O2 0.0441 0.2128 0.1579 (multiplicity 1)
O3 0.0985 0.2021 0.8630 (multiplicity 1)
O4 0.1463 0.4712 0.3774 (multiplicity 1)
O5 0.1915 0.3956 0.6840 (multiplicity 1)
O6 0.2988 0.1723 0.7486 (multiplicity 1)
O7 0.3179 0.7783 0.6832 (multiplicity 1)
O8 0.3340 0.5420 0.2246 (multiplicity 1)
O9 0.3787 0.1584 0.1666 (multiplicity 1)
O10 0.4675 0.9238 0.2237 (multiplicity 1)
O11 0.5137 0.8602 0.5353 (multiplicity 1)
O12 0.5983 0.1373 0.0680 (multiplicity 1)
O13 0.6095 0.1085 0.7538 (multiplicity 1)
O14 0.6384 0.4931 0.0700 (multiplicity 1)
O15 0.6675 0.4787 0.7529 (multiplicity 1)
O16 0.6886 0.8695 0.8448 (multiplicity 1)
O17 0.7128 0.6519 0.5497 (multiplicity 1)
O18 0.7139 0.7723 0.2338 (multiplicity 1)
O19 0.7485 0.2596 0.3792 (multiplicity 1)
O20 0.9246 0.0522 0.5504 (multiplicity 1)
O21 0.9255 0.5197 0.6791 (multiplicity 1)
O22 0.9350 0.6535 0.3782 (multiplicity 1)
O23 0.9671 0.4568 0.0703 (multiplicity 1)
O24 0.9746 0.8081 0.1606 (multiplicity 1)

The 10 most intense peaks (2θ = 10–90°), by intensity:
2θ (°)	I/Imax	hkl
24.13	100.0	1 1 0
24.27	47.4	-2 1 2
14.39	44.1	0 1 -1
14.49	25.1	-1 1 1
29.02	23.8	0 2 -2
19.72	22.5	1 -1 1
12.75	18.3	0 1 0
23.37	17.3	0 0 2
31.61	17.2	1 1 1
32.74	13.3	2 -3 0

=====

(4)
For CrXeF6, a cell relaxed with GGA+U gives the theoretical powder diffraction line list in this record (Cu Kα, 1.54184 Å).
No peak broadening, texture or thermal motion is included.

Cell and atoms:
a = 8.0684 Å, b = 7.4338 Å, c = 12.9151 Å
α = 90.00°, β = 127.56°, γ = 90.00°
Space group P2_1/c (No. 14)
One atom of each set of equivalent atoms:
Cr1 0.0072 0.0858 0.2553 (multiplicity 4)
Xe1 0.3842 0.6549 0.6135 (multiplicity 4)
F1 0.0300 0.1623 0.8038 (multiplicity 4)
F2 0.0828 0.1384 0.1536 (multiplicity 4)
F3 0.1480 0.5472 0.1909 (multiplicity 4)
F4 0.2564 0.0441 0.4025 (multiplicity 4)
F5 0.2882 0.6329 0.4159 (multiplicity 4)
F6 0.4924 0.6676 0.8016 (multiplicity 4)

The 10 most intense peaks (2θ = 10–90°), by intensity:
2θ (°)	I/Imax	hkl
26.40	100.0	1 2 -1
22.04	68.0	2 0 -2
18.50	36.6	1 1 -2
21.07	32.5	0 1 2
18.30	31.4	1 1 0
30.43	28.1	2 1 0
14.73	23.5	0 1 1
28.20	23.2	1 0 2
17.32	19.4	0 0 2
37.34	16.9	0 3 1

=====

(5)
For MgMn6O4F8, a cell relaxed with GGA+U gives the theoretical powder diffraction line list in this record (Cu Kα, 1.54184 Å).
No peak broadening, texture or thermal motion is included.

Cell and atoms:
a = 5.2950 Å, b = 6.0018 Å, c = 8.1074 Å
α = 84.22°, β = 83.64°, γ = 79.98°
Space group P1 (No. 1)
One atom of each set of equivalent atoms:
Mg1 0.0000 0.0000 0.0000 (multiplicity 1)
Mn1 0.0298 0.4163 0.1756 (multiplicity 1)
Mn2 0.1286 0.0258 0.4753 (multiplicity 1)
Mn3 0.4529 0.5074 0.4805 (multiplicity 1)
Mn4 0.4934 0.1804 0.7867 (multiplicity 1)
Mn5 0.5034 0.8590 0.1433 (multiplicity 1)
Mn6 0.9358 0.6291 0.7821 (multiplicity 1)
O1 0.1546 0.6949 0.5666 (multiplicity 1)
O2 0.1751 0.0482 0.2081 (multiplicity 1)
O3 0.3405 0.2318 0.5638 (multiplicity 1)
O4 0.8408 0.7086 0.0485 (multiplicity 1)
F1 0.1133 0.3148 0.9148 (multiplicity 1)
F2 0.3528 0.5525 0.2155 (multiplicity 1)
F3 0.3571 0.8754 0.9110 (multiplicity 1)
F4 0.5949 0.7940 0.3814 (multiplicity 1)
F5 0.6291 0.4924 0.7243 (multiplicity 1)
F6 0.6432 0.1590 0.0440 (multiplicity 1)
F7 0.8080 0.3332 0.3980 (multiplicity 1)
F8 0.8799 0.0058 0.7600 (multiplicity 1)

The 10 most intense peaks (2θ = 10–90°), by intensity:
2θ (°)	I/Imax	hkl
22.24	100.0	1 1 1
27.24	72.7	-1 1 1
33.48	36.4	0 0 3
52.48	32.0	-1 1 4
46.70	28.9	1 3 0
42.39	27.6	-2 1 1
33.27	27.6	0 2 -1
47.32	23.4	1 1 4
36.27	22.8	1 0 3
35.70	22.7	1 2 -1

=====

(6)
For Li2MnF4, a cell relaxed with GGA+U gives the theoretical powder diffraction line list in this record (Cu Kα, 1.54184 Å).
No peak broadening, texture or thermal motion is included.

Cell and atoms:
a = 9.4895 Å, b = 5.4777 Å, c = 6.1343 Å
α = 90.00°, β = 90.45°, γ = 90.00°
Space group C2 (No. 5)
One atom of each set of equivalent atoms:
Li1 0.0000 0.0000 0.0000 (multiplicity 2)
Li2 0.0000 0.0018 0.5000 (multiplicity 2)
Li3 0.1604 0.4381 0.1656 (multiplicity 4)
Mn1 0.1521 0.5390 0.6745 (multiplicity 4)
F1 0.0108 0.2543 0.7411 (multiplicity 4)
F2 0.0292 0.7428 0.2532 (multiplicity 4)
F3 0.2260 0.9020 0.5735 (multiplicity 4)
F4 0.2291 0.1011 0.0492 (multiplicity 4)

The 10 most intense peaks (2θ = 10–90°), by intensity:
2θ (°)	I/Imax	hkl
23.65	100.0	1 1 -1
34.94	83.1	2 0 2
23.78	44.9	2 0 1
18.70	44.9	1 1 0
32.69	42.3	3 1 0
37.93	36.3	2 2 0
40.71	35.4	2 2 -1
53.16	35.0	1 3 -1
48.42	31.1	2 2 -2
14.44	27.1	0 0 1

=====

Q: Number 4 is which compound?
A: CrXeF6